Entry 1:
# GaSe
Calculated PXRD pattern, Cu Kα, 1.54184 Å. Input: a PBE-relaxed structure.
No peak broadening, texture or thermal motion is included.

Cell and atoms:
Cell: 3.813 3.813 35.366 Å, 90.00 90.00 120.00°
Fractional positions:
Ga1 0.000 0.000 0.000
Ga2 0.000 0.000 0.070
Ga3 0.000 0.000 0.500
Ga4 0.000 0.000 0.570
Ga5 0.333 0.667 0.251
Ga6 0.333 0.667 0.321
Ga7 0.667 0.333 0.751
Ga8 0.667 0.333 0.821
Se1 0.000 0.000 0.218
Se2 0.000 0.000 0.354
Se3 0.000 0.000 0.718
Se4 0.000 0.000 0.854
Se5 0.333 0.667 0.467
Se6 0.333 0.667 0.603
Se7 0.667 0.333 0.103
Se8 0.667 0.333 0.967

Principal peaks in the range 2θ from 10° to 90°, in order of falling intensity:
d = 2.006 Å, 45.19°, intensity 100
d = 2.881 Å, 31.04°, intensity 94
d = 4.421 Å, 20.09°, intensity 93
d = 1.907 Å, 47.70°, intensity 79
d = 8.842 Å, 10.00°, intensity 68
d = 3.288 Å, 27.12°, intensity 64
d = 1.751 Å, 52.25°, intensity 41
d = 1.119 Å, 87.09°, intensity 30
d = 1.382 Å, 67.81°, intensity 29
d = 3.302 Å, 27.00°, intensity 24

Entry 2:
# Tl4IBr2
Calculated PXRD pattern, Cu Kα, 1.54184 Å. Input: a PBE-relaxed structure.
No peak broadening, texture or thermal motion is included.

Cell and atoms:
Cell: 10.188 10.188 10.188 Å, 143.17 143.17 53.07°
Fractional positions:
Tl1 0.000 0.500 0.500
Tl2 0.242 0.242 0.000
Tl3 0.500 0.000 0.500
Tl4 0.758 0.758 0.000
I1 0.000 0.000 0.000
Br1 0.402 0.402 0.000
Br2 0.598 0.598 0.000

Principal peaks in the range 2θ from 10° to 90°, in order of falling intensity:
d = 4.072 Å, 21.82°, intensity 100
d = 3.219 Å, 27.72°, intensity 89
d = 4.556 Å, 19.48°, intensity 69
d = 2.629 Å, 34.10°, intensity 55
d = 2.527 Å, 35.52°, intensity 50
d = 2.277 Å, 39.59°, intensity 47
d = 1.691 Å, 54.23°, intensity 35
d = 2.036 Å, 44.50°, intensity 31
d = 1.987 Å, 45.67°, intensity 30
d = 1.610 Å, 57.22°, intensity 29

Entry 3:
# Y2Ho5Th5
Calculated PXRD pattern, Cu Kα, 1.54184 Å. Input: a PBE-relaxed structure.
No peak broadening, texture or thermal motion is included.

Cell and atoms:
Cell: 7.935 7.935 11.285 Å, 114.94 114.94 36.93°
Fractional positions:
Y1 0.083 0.083 0.250
Y2 0.917 0.917 0.750
Ho1 0.332 0.332 0.496
Ho2 0.415 0.415 0.252
Ho3 0.500 0.500 0.000
Ho4 0.585 0.585 0.748
Ho5 0.668 0.668 0.504
Th1 0.000 0.000 0.500
Th2 0.169 0.169 0.003
Th3 0.249 0.249 0.753
Th4 0.751 0.751 0.247
Th5 0.831 0.831 0.997

Principal peaks in the range 2θ from 10° to 90°, in order of falling intensity:
d = 2.906 Å, 30.77°, intensity 100
d = 2.511 Å, 35.76°, intensity 34
d = 1.515 Å, 61.17°, intensity 29
d = 1.781 Å, 51.29°, intensity 24
d = 2.527 Å, 35.52°, intensity 17
d = 1.453 Å, 64.10°, intensity 13
d = 1.775 Å, 51.47°, intensity 12
d = 1.156 Å, 83.69°, intensity 12
d = 1.522 Å, 60.85°, intensity 7
d = 1.522 Å, 60.86°, intensity 7